1.
Theoretical XRD peak list
Compound: Ce3Tl3HgS8
Radiation: Cu Kα (λ = 1.5418 Å)
Structure: a DFT-relaxed cell (PBE, Alexandria)
Lines closer than 0.1° are merged.

Crystal structure
```
Ce3Tl3HgS8
1.0
6.8810 -4.2553 0.0000
6.8810 4.2553 0.0000
-4.5188 0.0000 7.4252
Ce Tl Hg S
3 3 1 8
Cartesian
0.0000 0.0000 0.0000
3.4405 2.1276 0.0000
3.4405 -2.1276 0.0000
1.1811 2.1276 3.7126
1.1811 -2.1276 3.7126
4.6216 0.0000 3.7126
6.8810 0.0000 0.0000
5.6154 2.3818 1.5649
2.3433 0.0000 1.4982
3.6277 2.3818 5.8602
0.2754 0.0000 6.0615
8.9678 0.0000 1.3637
5.6154 -2.3818 1.5649
6.8998 0.0000 5.9270
3.6277 -2.3818 5.8602
```

The 12 most intense peaks (2θ from 5° to 70°), in order of rising 2θ:
| d_spacing | Position (°2θ) | I_rel |
| --- | --- | --- |
| 6.894 | 12.84 | 18 |
| 3.713 | 23.97 | 38 |
| 3.447 | 25.85 | 60 |
| 3.279 | 27.20 | 25 |
| 3.028 | 29.50 | 100 |
| 2.939 | 30.41 | 44 |
| 2.212 | 40.79 | 36 |
| 2.155 | 41.93 | 18 |
| 2.128 | 42.49 | 18 |
| 2.019 | 44.90 | 31 |
| 1.893 | 48.07 | 14 |
| 1.723 | 53.14 | 18 |


2.
Theoretical XRD peak list
Compound: Ce4HgSb
Radiation: Cu Kα (λ = 1.5418 Å)
Structure: a DFT-relaxed cell (PBE, Alexandria)
Lines closer than 0.1° are merged.

Crystal structure
```
Ce4HgSb
1.0
8.7863 -2.7736 0.0000
8.7863 2.7736 0.0000
-0.5023 0.0000 6.9720
Ce Hg Sb
8 2 2
Cartesian
7.1166 2.1509 4.1008
5.7530 1.2043 6.3483
9.7026 2.1509 6.3572
11.0663 1.2043 4.1098
6.0041 -1.2043 2.8623
7.3678 -2.1509 0.6148
11.3174 -1.2043 0.6238
9.9537 -2.1509 2.8712
4.1420 1.3868 3.4860
4.3932 -1.3868 0.0000
8.6608 0.6193 1.7430
8.4096 -0.6193 5.2290
```

The 12 most intense peaks (2θ from 5° to 70°), in order of rising 2θ:
| d_spacing | Position (°2θ) | I_rel |
| --- | --- | --- |
| 4.258 | 20.86 | 22 |
| 3.561 | 25.00 | 50 |
| 3.486 | 25.55 | 22 |
| 2.829 | 31.63 | 23 |
| 2.789 | 32.09 | 30 |
| 2.669 | 33.57 | 100 |
| 2.642 | 33.93 | 28 |
| 2.574 | 34.86 | 29 |
| 2.490 | 36.06 | 43 |
| 2.323 | 38.77 | 23 |
| 2.145 | 42.13 | 43 |
| 2.085 | 43.40 | 23 |


3.
Theoretical XRD peak list
Compound: CeSc5Hg6
Radiation: Cu Kα (λ = 1.5418 Å)
Structure: a DFT-relaxed cell (PBE, Alexandria)
Lines closer than 0.1° are merged.

Crystal structure
```
CeSc5Hg6
1.0
5.0188 0.0000 0.0000
0.0000 7.2580 0.0000
-2.4949 0.0000 7.5910
Ce Sc Hg
1 5 6
Cartesian
0.0000 0.0000 0.0000
0.0000 3.6290 0.0000
0.0105 0.0000 4.9983
0.0119 3.6290 5.1426
2.5121 3.6290 2.4483
2.5134 0.0000 2.5927
0.0027 1.9192 2.6361
0.0027 5.3387 2.6361
2.5094 1.9251 0.0000
2.5094 5.3329 0.0000
2.5212 1.9192 4.9549
2.5212 5.3387 4.9549
```

The 12 most intense peaks (2θ from 5° to 70°), in order of rising 2θ:
| d_spacing | Position (°2θ) | I_rel |
| --- | --- | --- |
| 3.629 | 24.53 | 17 |
| 3.564 | 24.99 | 34 |
| 2.543 | 35.30 | 100 |
| 2.530 | 35.48 | 25 |
| 2.509 | 35.78 | 25 |
| 1.814 | 50.28 | 9 |
| 1.783 | 51.22 | 9 |
| 1.780 | 51.33 | 9 |
| 1.599 | 57.63 | 9 |
| 1.470 | 63.24 | 9 |
| 1.463 | 63.59 | 17 |
| 1.455 | 63.98 | 18 |


4.
Theoretical XRD peak list
Compound: CeSc3Hg4
Radiation: Cu Kα (λ = 1.5418 Å)
Structure: a DFT-relaxed cell (PBE, Alexandria)
Lines closer than 0.1° are merged.

Crystal structure
```
CeSc3Hg4
1.0
5.0324 0.0000 0.0000
0.0000 5.0324 0.0000
0.0000 0.0000 7.4429
Ce Sc Hg
1 3 4
Cartesian
0.0000 0.0000 0.0000
0.0000 0.0000 3.7215
2.5162 2.5162 0.0000
2.5162 2.5162 3.7215
0.0000 2.5162 2.0201
0.0000 2.5162 5.4228
2.5162 0.0000 2.0201
2.5162 0.0000 5.4228
```

The 12 most intense peaks (2θ from 5° to 70°), in order of rising 2θ:
| d_spacing | Position (°2θ) | I_rel |
| --- | --- | --- |
| 3.721 | 23.91 | 14 |
| 3.558 | 25.02 | 29 |
| 3.210 | 27.79 | 7 |
| 2.572 | 34.88 | 100 |
| 2.516 | 35.68 | 50 |
| 2.084 | 43.41 | 13 |
| 1.861 | 48.95 | 8 |
| 1.779 | 51.35 | 18 |
| 1.605 | 57.41 | 6 |
| 1.591 | 57.95 | 6 |
| 1.496 | 62.03 | 16 |
| 1.463 | 63.59 | 35 |


5.
Theoretical XRD peak list
Compound: Ce5Si3Hg
Radiation: Cu Kα (λ = 1.5418 Å)
Structure: a DFT-relaxed cell (PBE, Alexandria)
Lines closer than 0.1° are merged.

Crystal structure
```
Ce5Si3Hg
1.0
8.9952 0.0000 0.0000
-4.4976 7.7901 0.0000
0.0000 0.0000 6.2477
Ce Si Hg
10 6 2
Cartesian
-1.3840 2.3972 1.5619
-3.1136 5.3928 4.6858
2.7681 0.0000 1.5619
1.3840 2.3972 4.6858
0.0000 5.1934 0.0000
0.0000 5.1934 3.1239
4.4976 2.5967 0.0000
4.4976 2.5967 3.1239
6.2271 0.0000 4.6858
3.1136 5.3928 1.5619
-1.6192 2.8045 4.6858
-2.8784 4.9856 1.5619
3.2384 0.0000 4.6858
1.6192 2.8045 1.5619
5.7568 0.0000 1.5619
2.8784 4.9856 4.6858
0.0000 0.0000 0.0000
0.0000 0.0000 3.1239
```

The 12 most intense peaks (2θ from 5° to 70°), in order of rising 2θ:
| d_spacing | Position (°2θ) | I_rel |
| --- | --- | --- |
| 7.790 | 11.36 | 10 |
| 4.498 | 19.74 | 21 |
| 3.650 | 24.39 | 37 |
| 2.663 | 33.65 | 6 |
| 2.597 | 34.54 | 88 |
| 2.566 | 34.97 | 100 |
| 2.116 | 42.73 | 7 |
| 1.890 | 48.15 | 6 |
| 1.825 | 49.97 | 35 |
| 1.562 | 59.15 | 7 |
| 1.499 | 61.89 | 14 |
| 1.493 | 62.17 | 34 |


6.
Theoretical XRD peak list
Compound: Ce7Si3Hg
Radiation: Cu Kα (λ = 1.5418 Å)
Structure: a DFT-relaxed cell (PBE, Alexandria)
Lines closer than 0.1° are merged.

Crystal structure
```
Ce7Si3Hg
1.0
-2.8348 4.4853 5.6496
2.8348 -4.4853 5.6496
2.8348 4.4853 -5.6496
Ce Si Hg
7 3 1
Cartesian
0.0000 0.0000 0.0000
2.8348 -1.4164 3.0335
2.8348 3.1230 0.0000
2.8348 1.4164 3.0335
0.0000 3.0689 2.6161
0.0000 1.3622 5.6496
0.0000 5.9016 2.6161
0.0000 0.0000 2.9795
0.0000 4.4853 0.0000
0.0000 0.0000 8.3197
2.8348 0.0000 0.0000
```

The 12 most intense peaks (2θ from 5° to 70°), in order of rising 2θ:
| d_spacing | Position (°2θ) | I_rel |
| --- | --- | --- |
| 5.068 | 17.50 | 22 |
| 3.655 | 24.35 | 33 |
| 3.513 | 25.35 | 29 |
| 3.137 | 28.45 | 27 |
| 2.891 | 30.94 | 37 |
| 2.835 | 31.56 | 70 |
| 2.825 | 31.68 | 62 |
| 2.395 | 37.55 | 100 |
| 2.024 | 44.78 | 27 |
| 2.001 | 45.32 | 46 |
| 1.804 | 50.61 | 25 |
| 1.537 | 60.20 | 25 |


7.
Theoretical XRD peak list
Compound: Ce4SiHg2
Radiation: Cu Kα (λ = 1.5418 Å)
Structure: a DFT-relaxed cell (PBE, Alexandria)
Lines closer than 0.1° are merged.

Crystal structure
```
Ce4SiHg2
1.0
5.2644 0.0000 0.0000
0.0000 4.5342 4.1461
0.0000 -4.5342 4.1461
Ce Si Hg
4 1 2
Cartesian
0.0000 0.0000 0.0000
0.0000 0.0000 2.6947
2.6322 -2.2842 3.3825
2.6322 2.2842 3.3825
2.6322 0.0000 1.3368
0.0000 -1.5264 5.4858
0.0000 1.5264 5.4858
```

The 12 most intense peaks (2θ from 5° to 70°), in order of rising 2θ:
| d_spacing | Position (°2θ) | I_rel |
| --- | --- | --- |
| 5.264 | 16.84 | 35 |
| 3.436 | 25.93 | 20 |
| 3.257 | 27.38 | 46 |
| 2.840 | 31.50 | 39 |
| 2.645 | 33.89 | 100 |
| 2.632 | 34.06 | 47 |
| 2.499 | 35.93 | 45 |
| 2.363 | 38.09 | 36 |
| 1.931 | 47.07 | 26 |
| 1.533 | 60.39 | 14 |
| 1.522 | 60.85 | 15 |
| 1.453 | 64.09 | 18 |


8.
Theoretical XRD peak list
Compound: CeSmHg2
Radiation: Cu Kα (λ = 1.5418 Å)
Structure: a DFT-relaxed cell (PBE, Alexandria)
Lines closer than 0.1° are merged.

Crystal structure
```
CeSmHg2
1.0
5.4088 0.0000 0.0000
0.0000 5.4088 0.0000
0.0000 0.0000 3.7939
Ce Sm Hg
1 1 2
Cartesian
0.0000 0.0000 0.0000
2.7044 2.7044 0.0000
0.0000 2.7044 1.8969
2.7044 0.0000 1.8969
```

The 12 most intense peaks (2θ from 5° to 70°), in order of rising 2θ:
| d_spacing | Position (°2θ) | I_rel |
| --- | --- | --- |
| 3.825 | 23.26 | 3 |
| 3.794 | 23.45 | 1 |
| 2.704 | 33.13 | 51 |
| 2.693 | 33.26 | 100 |
| 2.202 | 40.98 | 2 |
| 1.912 | 47.55 | 19 |
| 1.897 | 47.96 | 9 |
| 1.709 | 53.63 | 1 |
| 1.559 | 59.26 | 39 |
| 1.553 | 59.53 | 19 |
| 1.352 | 69.52 | 6 |
| 1.347 | 69.84 | 12 |


9.
Theoretical XRD peak list
Compound: Ce5SnHg
Radiation: Cu Kα (λ = 1.5418 Å)
Structure: a DFT-relaxed cell (PBE, Alexandria)
Lines closer than 0.1° are merged.

Crystal structure
```
Ce5SnHg
1.0
3.7904 -4.1206 0.0000
3.7904 4.1206 0.0000
-2.5896 0.0000 12.2707
Ce Sn Hg
10 2 2
Cartesian
1.8482 3.8393 9.2031
0.7375 1.8076 7.7665
0.5527 0.9770 11.5745
2.9590 1.8076 10.6396
3.1438 0.9770 6.8316
1.8475 -0.9770 5.4392
2.0323 -1.8076 1.6312
4.4386 -0.9770 0.6962
4.2538 -1.8076 4.5042
3.1430 -3.8393 3.0677
3.1430 1.0072 3.0677
1.8482 -1.0072 9.2031
0.0000 0.0000 0.0000
-1.2948 0.0000 6.1354
```

The 12 most intense peaks (2θ from 5° to 70°), in order of rising 2θ:
| d_spacing | Position (°2θ) | I_rel |
| --- | --- | --- |
| 3.709 | 23.99 | 29 |
| 3.067 | 29.11 | 90 |
| 2.903 | 30.80 | 64 |
| 2.782 | 32.17 | 41 |
| 2.757 | 32.48 | 64 |
| 2.648 | 33.86 | 100 |
| 2.576 | 34.83 | 68 |
| 2.521 | 35.61 | 27 |
| 2.461 | 36.52 | 60 |
| 2.416 | 37.22 | 41 |
| 2.046 | 44.26 | 25 |
| 1.695 | 54.09 | 25 |


10.
Theoretical XRD peak list
Compound: Ce6SnHg5
Radiation: Cu Kα (λ = 1.5418 Å)
Structure: a DFT-relaxed cell (PBE, Alexandria)
Lines closer than 0.1° are merged.

Crystal structure
```
Ce6SnHg5
1.0
2.3965 -7.2091 0.0000
2.3965 7.2091 0.0000
0.0000 0.0000 9.2078
Ce Sn Hg
6 1 5
Cartesian
0.0000 0.0000 2.2895
0.0000 0.0000 6.9183
2.3965 2.4396 2.2950
2.3965 2.4396 6.9129
2.3965 -2.4396 2.2950
2.3965 -2.4396 6.9129
2.3965 0.0000 4.6039
2.3965 4.8296 4.6039
2.3965 4.8213 0.0000
2.3965 0.0000 0.0000
2.3965 -4.8213 0.0000
2.3965 -4.8296 4.6039
```

The 12 most intense peaks (2θ from 5° to 70°), in order of rising 2θ:
| d_spacing | Position (°2θ) | I_rel |
| --- | --- | --- |
| 4.604 | 19.28 | 2 |
| 3.394 | 26.26 | 2 |
| 2.732 | 32.78 | 100 |
| 2.403 | 37.42 | 18 |
| 2.397 | 37.53 | 17 |
| 2.302 | 39.13 | 16 |
| 1.697 | 54.04 | 12 |
| 1.661 | 55.30 | 23 |
| 1.443 | 64.59 | 14 |
| 1.440 | 64.73 | 14 |
| 1.398 | 66.91 | 13 |
| 1.366 | 68.72 | 12 |


11.
Theoretical XRD peak list
Compound: Sr2CeHg3
Radiation: Cu Kα (λ = 1.5418 Å)
Structure: a DFT-relaxed cell (PBE, Alexandria)
Lines closer than 0.1° are merged.

Crystal structure
```
Sr2CeHg3
1.0
2.7758 -8.3442 0.0000
2.7758 8.3442 0.0000
0.0000 0.0000 7.9722
Sr Ce Hg
4 2 6
Cartesian
0.0000 0.0000 0.0000
0.0000 0.0000 3.9861
2.7758 2.7755 0.0000
2.7758 -2.7755 0.0000
2.7758 2.7777 3.9861
2.7758 -2.7777 3.9861
2.7758 5.4900 2.1405
2.7758 5.4900 5.8317
2.7758 0.0000 2.0906
2.7758 0.0000 5.8815
2.7758 -5.4900 2.1405
2.7758 -5.4900 5.8317
```

The 12 most intense peaks (2θ from 5° to 70°), in order of rising 2θ:
| d_spacing | Position (°2θ) | I_rel |
| --- | --- | --- |
| 7.972 | 11.10 | 4 |
| 3.986 | 22.30 | 5 |
| 3.930 | 22.63 | 11 |
| 2.798 | 31.98 | 100 |
| 2.779 | 32.22 | 50 |
| 2.279 | 39.54 | 5 |
| 2.201 | 41.00 | 3 |
| 1.993 | 45.51 | 9 |
| 1.965 | 46.20 | 19 |
| 1.619 | 56.85 | 18 |
| 1.608 | 57.30 | 38 |
| 1.399 | 66.87 | 11 |


12.
Theoretical XRD peak list
Compound: Tb2CeHg4
Radiation: Cu Kα (λ = 1.5418 Å)
Structure: a DFT-relaxed cell (PBE, Alexandria)
Lines closer than 0.1° are merged.

Crystal structure
```
Tb2CeHg4
1.0
5.2622 0.0000 0.0000
0.0000 5.2622 0.0000
0.0000 0.0000 7.2391
Tb Ce Hg
2 1 4
Cartesian
0.0000 0.0000 0.0000
2.6311 2.6311 3.6196
0.0000 0.0000 3.6196
0.0000 2.6311 1.6824
0.0000 2.6311 5.5567
2.6311 0.0000 1.6824
2.6311 0.0000 5.5567
```

The 12 most intense peaks (2θ from 5° to 70°), in order of rising 2θ:
| d_spacing | Position (°2θ) | I_rel |
| --- | --- | --- |
| 5.262 | 16.85 | 4 |
| 4.256 | 20.87 | 7 |
| 3.721 | 23.91 | 10 |
| 3.620 | 24.59 | 4 |
| 3.309 | 26.94 | 6 |
| 2.631 | 34.08 | 54 |
| 2.595 | 34.57 | 100 |
| 2.128 | 42.48 | 4 |
| 1.860 | 48.96 | 20 |
| 1.810 | 50.42 | 8 |
| 1.512 | 61.31 | 39 |
| 1.491 | 62.26 | 17 |


13.
Theoretical XRD peak list
Compound: TbCeHg3
Radiation: Cu Kα (λ = 1.5418 Å)
Structure: a DFT-relaxed cell (PBE, Alexandria)
Lines closer than 0.1° are merged.

Crystal structure
```
TbCeHg3
1.0
1.7583 -14.7986 0.0000
1.7583 14.7986 0.0000
0.0000 0.0000 5.0066
Tb Ce Hg
2 2 6
Cartesian
1.7583 8.5431 3.7550
1.7583 -8.5431 1.2517
1.7583 12.5651 1.2517
1.7583 -12.5651 3.7550
1.7583 5.3582 3.7550
1.7583 3.6320 1.2517
1.7583 0.7202 1.2517
1.7583 -0.7202 3.7550
1.7583 -3.6320 3.7550
1.7583 -5.3582 1.2517
```

The 12 most intense peaks (2θ from 5° to 70°), in order of rising 2θ:
| d_spacing | Position (°2θ) | I_rel |
| --- | --- | --- |
| 3.492 | 25.51 | 21 |
| 2.763 | 32.41 | 100 |
| 2.704 | 33.13 | 39 |
| 2.548 | 35.23 | 92 |
| 2.503 | 35.87 | 52 |
| 2.166 | 41.71 | 32 |
| 1.911 | 47.58 | 18 |
| 1.837 | 49.63 | 25 |
| 1.758 | 52.01 | 20 |
| 1.490 | 62.31 | 21 |
| 1.447 | 64.38 | 33 |
| 1.439 | 64.80 | 19 |